1.
This entry pairs a crystal structure of BaNaSmMnO6 with its calculated X-ray powder pattern. Radiation: Cu Kα (weighted mean of Kα1 and Kα2). Structure: a DFT-relaxed cell (PBE+U, the Materials Project).
Kinematic intensities with the Lorentz-polarization factor, no thermal factor.

Cell and atoms:
```
data_BaNaSmMnO6
_cell_length_a 8.395
_cell_length_b 8.395
_cell_length_c 8.395
_cell_angle_alpha 90.00
_cell_angle_beta 90.00
_cell_angle_gamma 90.00
_symmetry_space_group_name_H-M 'F -4 3 m'
_symmetry_Int_Tables_number 216
_symmetry_space_group_name_Hall 'F -4 2 3'
loop_
_atom_site_label
_atom_site_type_symbol
_atom_site_fract_x
_atom_site_fract_y
_atom_site_fract_z
_atom_site_occupancy
Ba1 Ba 0.000 0.000 0.000 1
Na1 Na 0.000 0.000 0.500 1
Sm1 Sm 0.250 0.250 0.250 1
Mn1 Mn 0.250 0.250 0.750 1
O1 O 0.022 0.250 0.750 1
```

Largest 10 diffraction maxima, in order of falling intensity, 2θ = 10–80°:
| 2θ/deg | I/Imax | hkl |
| --- | --- | --- |
| 30.11 | 100 | 2 2 0 |
| 53.47 | 39 | 4 2 2 |
| 18.30 | 35 | 1 1 1 |
| 43.10 | 34 | 4 0 0 |
| 35.46 | 25 | 3 1 1 |
| 62.59 | 20 | 4 4 0 |
| 71.01 | 18 | 6 2 0 |
| 47.19 | 13 | 3 3 1 |
| 21.17 | 9 | 2 0 0 |
| 57.00 | 8 | 3 3 3 |

2.
This entry pairs a crystal structure of LiMn3Al2H6O12 with its calculated X-ray powder pattern. Radiation: Cu Kα (weighted mean of Kα1 and Kα2). Structure: a DFT-relaxed cell (PBE+U, the Materials Project).
Kinematic intensities with the Lorentz-polarization factor, no thermal factor.

Cell and atoms:
```
data_LiMn3Al2H6O12
_cell_length_a 5.969
_cell_length_b 7.799
_cell_length_c 10.119
_cell_angle_alpha 70.40
_cell_angle_beta 89.27
_cell_angle_gamma 78.36
_symmetry_space_group_name_H-M 'P -1'
_symmetry_Int_Tables_number 2
_symmetry_space_group_name_Hall '-P 1'
loop_
_atom_site_label
_atom_site_type_symbol
_atom_site_fract_x
_atom_site_fract_y
_atom_site_fract_z
_atom_site_occupancy
Li1 Li 0.079 0.157 0.497 1
Mn1 Mn 0.079 0.168 0.997 1
Mn2 Mn 0.251 0.499 0.001 1
Mn3 Mn 0.421 0.832 0.003 1
Al1 Al 0.244 0.502 0.499 1
Al2 Al 0.414 0.837 0.503 1
H1 H 0.001 0.499 0.288 1
H2 H 0.187 0.806 0.297 1
H3 H 0.188 0.844 0.711 1
H4 H 0.338 0.193 0.699 1
H5 H 0.356 0.139 0.290 1
H6 H 0.492 0.512 0.710 1
O1 O 0.008 0.430 0.893 1
O2 O 0.011 0.463 0.393 1
O3 O 0.150 0.900 0.103 1
O4 O 0.172 0.883 0.608 1
O5 O 0.189 0.770 0.901 1
O6 O 0.208 0.758 0.400 1
O7 O 0.323 0.230 0.103 1
O8 O 0.335 0.245 0.595 1
O9 O 0.356 0.098 0.896 1
O10 O 0.371 0.093 0.393 1
O11 O 0.486 0.562 0.605 1
O12 O 0.494 0.571 0.109 1
```

Largest 10 diffraction maxima, in order of falling intensity, 2θ = 10–80°:
| 2θ/deg | I/Imax | hkl |
| --- | --- | --- |
| 18.65 | 100 | 0 0 2 |
| 36.83 | 20 | 2 2 2 |
| 37.56 | 19 | 0 3 0 |
| 37.35 | 19 | -2 1 2 |
| 47.84 | 17 | -2 1 4 |
| 47.16 | 17 | 2 2 4 |
| 47.99 | 16 | 0 3 -2 |
| 62.22 | 6 | 4 1 0 |
| 62.68 | 6 | 2 5 2 |
| 28.13 | 6 | 0 0 3 |

3.
This entry pairs a crystal structure of Li3MnC3O9 with its calculated X-ray powder pattern. Radiation: Cu Kα (weighted mean of Kα1 and Kα2). Structure: a DFT-relaxed cell (PBE+U, the Materials Project).
Kinematic intensities with the Lorentz-polarization factor, no thermal factor.

Cell and atoms:
```
data_Li3MnC3O9
_cell_length_a 10.149
_cell_length_b 9.495
_cell_length_c 7.263
_cell_angle_alpha 90.00
_cell_angle_beta 90.00
_cell_angle_gamma 90.00
_symmetry_space_group_name_H-M 'A m a 2'
_symmetry_Int_Tables_number 40
_symmetry_space_group_name_Hall 'A 2 -2a'
loop_
_atom_site_label
_atom_site_type_symbol
_atom_site_fract_x
_atom_site_fract_y
_atom_site_fract_z
_atom_site_occupancy
Li1 Li 0.000 0.000 0.000 1
Li2 Li 0.250 0.019 0.283 1
Li3 Li 0.250 0.280 0.383 1
Mn1 Mn 0.250 0.211 0.847 1
C1 C 0.016 0.304 0.763 1
C2 C 0.250 0.492 0.143 1
O1 O 0.059 0.193 0.859 1
O2 O 0.106 0.172 0.253 1
O3 O 0.108 0.377 0.686 1
O4 O 0.250 0.116 0.572 1
O5 O 0.250 0.379 0.047 1
O6 O 0.250 0.487 0.326 1
```

Largest 10 diffraction maxima, in order of falling intensity, 2θ = 10–80°:
| 2θ/deg | I/Imax | hkl |
| --- | --- | --- |
| 17.69 | 100 | 1 1 1 |
| 23.35 | 57 | 2 1 1 |
| 24.51 | 44 | 0 0 2 |
| 18.69 | 42 | 0 2 0 |
| 31.01 | 33 | 0 2 2 |
| 17.48 | 31 | 2 0 0 |
| 38.77 | 19 | 4 1 1 |
| 47.27 | 17 | 0 3 3 |
| 47.49 | 16 | 5 1 1 |
| 38.37 | 16 | 0 1 3 |

4.
This entry pairs a crystal structure of MgBi4W2O12 with its calculated X-ray powder pattern. Radiation: Cu Kα (weighted mean of Kα1 and Kα2). Structure: a DFT-relaxed cell (PBE+U, the Materials Project).
Kinematic intensities with the Lorentz-polarization factor, no thermal factor.

Cell and atoms:
```
data_MgBi4W2O12
_cell_length_a 3.984
_cell_length_b 8.463
_cell_length_c 8.761
_cell_angle_alpha 97.34
_cell_angle_beta 92.65
_cell_angle_gamma 99.77
_symmetry_space_group_name_H-M 'P 1'
_symmetry_Int_Tables_number 1
_symmetry_space_group_name_Hall 'P 1'
loop_
_atom_site_label
_atom_site_type_symbol
_atom_site_fract_x
_atom_site_fract_y
_atom_site_fract_z
_atom_site_occupancy
Mg1 Mg 0.000 0.000 0.000 1
Bi1 Bi 0.101 0.338 0.592 1
Bi2 Bi 0.353 0.332 0.029 1
Bi3 Bi 0.451 0.987 0.713 1
Bi4 Bi 0.523 0.012 0.299 1
W1 W 0.906 0.640 0.911 1
W2 W 0.962 0.673 0.300 1
O1 O 0.068 0.901 0.416 1
O2 O 0.102 0.163 0.769 1
O3 O 0.155 0.169 0.197 1
O4 O 0.396 0.619 0.912 1
O5 O 0.470 0.702 0.288 1
O6 O 0.539 0.067 0.965 1
O7 O 0.614 0.178 0.516 1
O8 O 0.788 0.447 0.762 1
O9 O 0.891 0.489 0.098 1
O10 O 0.914 0.531 0.439 1
O11 O 0.963 0.832 0.802 1
O12 O 0.987 0.802 0.103 1
```

Largest 10 diffraction maxima, in order of falling intensity, 2θ = 10–80°:
| 2θ/deg | I/Imax | hkl |
| --- | --- | --- |
| 24.47 | 100 | 0 1 2 |
| 26.87 | 82 | 1 1 0 |
| 27.70 | 77 | 0 2 -2 |
| 28.49 | 64 | 1 -2 0 |
| 32.52 | 64 | 0 3 0 |
| 31.33 | 59 | 1 -1 2 |
| 25.52 | 41 | -1 1 1 |
| 13.75 | 39 | 0 1 -1 |
| 48.73 | 31 | 1 -4 2 |
| 30.95 | 29 | 0 0 3 |

Number 2 is which compound?
LiMn3Al2H6O12